(1)
Simulated powder diffractogram
Compound: Ho2NiB4O10
Radiation: Cu Kα X-rays
Structure: a PBE+U-relaxed structure
Peak positions follow from Bragg's law for the DFT cell and can differ from measured ones.

Top 6 peaks for 5 to 70 degrees two-theta, low angle first:
hkl, d [Å], I/Imax
1 0 0, 4.539, 100.0
0 2 1, 3.392, 44.3
0 1 3, 2.881, 45.7
1 2 -1, 2.727, 48.3
1 1 -3, 2.455, 46.7
1 1 3, 2.411, 50.9

Structure:
```
data_Ho2NiB4O10
_cell_length_a 4.540
_cell_length_b 7.271
_cell_length_c 9.417
_cell_angle_alpha 90.00
_cell_angle_beta 91.26
_cell_angle_gamma 90.00
_space_group_name_H-M_alt 'P 1 21/c 1'
_space_group_IT_number 14
loop_
_space_group_symop_operation_xyz
'x,y,z'
'-x,-y,-z'
'-x,y+1/2,-z+1/2'
'x,-y+1/2,z+1/2'
loop_
_atom_site_label
_atom_site_type_symbol
_atom_site_fract_x
_atom_site_fract_y
_atom_site_fract_z
_atom_site_occupancy
Ho1 Ho 0.004 0.101 0.165 1
Ni1 Ni 0.000 0.000 0.500 1
B1 B 0.465 0.096 0.661 1
B2 B 0.471 0.735 0.585 1
O1 O 0.222 0.596 0.833 1
O2 O 0.249 0.609 0.539 1
O3 O 0.321 0.592 0.143 1
O4 O 0.328 0.170 0.795 1
O5 O 0.334 0.207 0.538 1
```

(2)
Simulated powder diffractogram
Compound: Mg14CdCoO16
Radiation: Cu Kα X-rays
Structure: a PBE+U-relaxed structure
Peak positions follow from Bragg's law for the DFT cell and can differ from measured ones.

Top 6 peaks for 5 to 70 degrees two-theta, low angle first:
hkl, d [Å], I/Imax
0 0 1, 8.628, 36.5
1 2 2, 2.486, 37.3
0 0 4, 2.158, 50.3
2 0 0, 2.151, 100.0
2 0 4, 1.523, 57.2
2 4 0, 1.521, 28.6

Structure:
```
data_Mg14CdCoO16
_cell_length_a 4.306
_cell_length_b 8.595
_cell_length_c 8.633
_cell_angle_alpha 90.00
_cell_angle_beta 90.00
_cell_angle_gamma 90.00
_space_group_name_H-M_alt 'P m m m'
_space_group_IT_number 47
loop_
_space_group_symop_operation_xyz
'x,y,z'
'-x,-y,-z'
'-x,-y,z'
'x,y,-z'
'x,-y,-z'
'-x,y,z'
'-x,y,-z'
'x,-y,z'
loop_
_atom_site_label
_atom_site_type_symbol
_atom_site_fract_x
_atom_site_fract_y
_atom_site_fract_z
_atom_site_occupancy
Mg1 Mg 0.000 0.000 0.000 1
Mg2 Mg 0.000 0.246 0.247 1
Mg3 Mg 0.000 0.500 0.000 1
Mg4 Mg 0.500 0.000 0.250 1
Mg5 Mg 0.500 0.245 0.500 1
Mg6 Mg 0.500 0.249 0.000 1
Mg7 Mg 0.500 0.500 0.244 1
Cd1 Cd 0.000 0.500 0.500 1
Co1 Co 0.000 0.000 0.500 1
O1 O 0.000 0.000 0.242 1
O2 O 0.000 0.234 0.500 1
O3 O 0.000 0.248 0.000 1
O4 O 0.000 0.500 0.235 1
O5 O 0.500 0.000 0.000 1
O6 O 0.500 0.000 0.500 1
O7 O 0.500 0.250 0.252 1
O8 O 0.500 0.500 0.000 1
O9 O 0.500 0.500 0.500 1
```

(3)
Simulated powder diffractogram
Compound: Mn3B7BrO13
Radiation: Cu Kα X-rays
Structure: a PBE+U-relaxed structure
Peak positions follow from Bragg's law for the DFT cell and can differ from measured ones.

Top 6 peaks for 5 to 70 degrees two-theta, low angle first:
hkl, d [Å], I/Imax
4 0 0, 3.100, 100.0
4 2 0, 2.772, 79.5
4 4 0, 2.192, 62.0
4 4 4, 1.790, 30.9
8 2 0, 1.504, 25.2
8 4 0, 1.386, 30.9

Structure:
```
data_Mn3B7BrO13
_cell_length_a 12.399
_cell_length_b 12.399
_cell_length_c 12.399
_cell_angle_alpha 90.00
_cell_angle_beta 90.00
_cell_angle_gamma 90.00
_space_group_name_H-M_alt 'F -4 3 c'
_space_group_IT_number 219
_space_group_name_Hall 'F -4a 2 3'
loop_
_atom_site_label
_atom_site_type_symbol
_atom_site_fract_x
_atom_site_fract_y
_atom_site_fract_z
_atom_site_occupancy
Mn1 Mn 0.000 0.000 0.250 1
B1 B 0.000 0.250 0.250 1
B2 B 0.170 0.170 0.330 1
Br1 Br 0.000 0.000 0.000 1
O1 O 0.070 0.156 0.273 1
O2 O 0.250 0.250 0.250 1
```

(4)
Simulated powder diffractogram
Compound: K2NiMo2O8
Radiation: Cu Kα X-rays
Structure: a PBE+U-relaxed structure
Peak positions follow from Bragg's law for the DFT cell and can differ from measured ones.

Top 6 peaks for 5 to 70 degrees two-theta, low angle first:
hkl, d [Å], I/Imax
0 2 0, 9.681, 83.5
2 0 0, 4.297, 41.4
0 2 3, 3.448, 29.2
1 1 3, 3.339, 47.4
2 2 2, 3.204, 100.0
2 4 1, 3.086, 35.3

Structure:
```
data_K2NiMo2O8
_cell_length_a 8.594
_cell_length_b 19.363
_cell_length_c 11.068
_cell_angle_alpha 90.00
_cell_angle_beta 90.00
_cell_angle_gamma 90.00
_space_group_name_H-M_alt 'C m c e'
_space_group_IT_number 64
_space_group_name_Hall '-C 2ac 2'
loop_
_atom_site_label
_atom_site_type_symbol
_atom_site_fract_x
_atom_site_fract_y
_atom_site_fract_z
_atom_site_occupancy
K1 K 0.000 0.131 0.070 1
K2 K 0.250 0.214 0.750 1
Ni1 Ni 0.178 0.000 0.500 1
Mo1 Mo 0.000 0.031 0.784 1
Mo2 Mo 0.000 0.157 0.465 1
O1 O 0.000 0.001 0.373 1
O2 O 0.000 0.123 0.794 1
O3 O 0.000 0.185 0.310 1
O4 O 0.000 0.233 0.557 1
O5 O 0.163 0.002 0.135 1
O6 O 0.176 0.109 0.499 1
```

(5)
Simulated powder diffractogram
Compound: Mn5FeO12
Radiation: Cu Kα X-rays
Structure: a PBE+U-relaxed structure
Peak positions follow from Bragg's law for the DFT cell and can differ from measured ones.

Top 6 peaks for 5 to 70 degrees two-theta, low angle first:
hkl, d [Å], I/Imax
1 1 1, 4.808, 100.0
1 1 -2, 4.767, 96.0
3 1 0, 2.509, 22.9
1 3 -2, 2.500, 21.9
0 4 0, 2.073, 95.4
0 4 6, 1.466, 32.8

Structure:
```
data_Mn5FeO12
_cell_length_a 8.286
_cell_length_b 8.292
_cell_length_c 13.072
_cell_angle_alpha 90.00
_cell_angle_beta 107.76
_cell_angle_gamma 90.00
_space_group_name_H-M_alt 'C 1 2/c 1'
_space_group_IT_number 15
loop_
_space_group_symop_operation_xyz
'x,y,z'
'-x,-y,-z'
'-x,y,-z+1/2'
'x,-y,z+1/2'
'x+1/2,y+1/2,z'
'-x+1/2,-y+1/2,-z'
'-x+1/2,y+1/2,-z+1/2'
'x+1/2,-y+1/2,z+1/2'
loop_
_atom_site_label
_atom_site_type_symbol
_atom_site_fract_x
_atom_site_fract_y
_atom_site_fract_z
_atom_site_occupancy
Mn1 Mn 0.084 0.250 0.167 1
Mn2 Mn 0.166 0.000 0.333 1
Mn3 Mn 0.250 0.250 0.000 1
Fe1 Fe 0.000 0.500 0.000 1
O1 O 0.023 0.261 0.011 1
O2 O 0.073 0.016 0.177 1
O3 O 0.097 0.483 0.160 1
O4 O 0.145 0.234 0.323 1
O5 O 0.188 0.234 0.844 1
O6 O 0.247 0.483 0.012 1
```

(6)
Simulated powder diffractogram
Compound: LiNi2P5O15
Radiation: Cu Kα X-rays
Structure: a PBE+U-relaxed structure
Peak positions follow from Bragg's law for the DFT cell and can differ from measured ones.

Top 6 peaks for 5 to 70 degrees two-theta, low angle first:
hkl, d [Å], I/Imax
0 2 0, 6.512, 54.8
0 2 2, 3.514, 53.6
1 3 0, 3.285, 94.6
1 3 1, 2.923, 100.0
0 0 3, 2.782, 52.3
1 3 -2, 2.772, 61.6

Structure:
```
data_LiNi2P5O15
_cell_length_a 5.137
_cell_length_b 13.024
_cell_length_c 8.535
_cell_angle_alpha 90.00
_cell_angle_beta 102.06
_cell_angle_gamma 90.00
_space_group_name_H-M_alt 'P 1 21/m 1'
_space_group_IT_number 11
loop_
_space_group_symop_operation_xyz
'x,y,z'
'-x,-y,-z'
'-x,y+1/2,-z'
'x,-y+1/2,z'
loop_
_atom_site_label
_atom_site_type_symbol
_atom_site_fract_x
_atom_site_fract_y
_atom_site_fract_z
_atom_site_occupancy
Li1 Li 0.000 0.000 0.000 1
Ni1 Ni 0.366 0.087 0.351 1
P1 P 0.058 0.750 0.527 1
P2 P 0.157 0.070 0.687 1
P3 P 0.474 0.638 0.994 1
O1 O 0.014 0.013 0.263 1
O2 O 0.042 0.654 0.407 1
O3 O 0.181 0.250 0.394 1
O4 O 0.200 0.628 0.020 1
O5 O 0.311 0.132 0.835 1
O6 O 0.336 0.750 0.624 1
O7 O 0.350 0.038 0.582 1
O8 O 0.421 0.071 0.125 1
O9 O 0.451 0.250 0.053 1
```

(7)
Simulated powder diffractogram
Compound: LiFeF4
Radiation: Cu Kα X-rays
Structure: a PBE+U-relaxed structure
Peak positions follow from Bragg's law for the DFT cell and can differ from measured ones.

Top 6 peaks for 5 to 70 degrees two-theta, low angle first:
hkl, d [Å], I/Imax
2 0 0, 5.533, 100.0
0 2 0, 3.750, 47.5
1 0 2, 3.642, 79.7
2 2 0, 3.104, 28.3
1 2 2, 2.613, 20.5
6 2 0, 1.655, 17.0

Structure:
```
data_LiFeF4
_cell_length_a 11.067
_cell_length_b 7.500
_cell_length_c 7.714
_cell_angle_alpha 90.00
_cell_angle_beta 90.00
_cell_angle_gamma 90.00
_space_group_name_H-M_alt 'P n m a'
_space_group_IT_number 62
loop_
_space_group_symop_operation_xyz
'x,y,z'
'-x,-y,-z'
'-x+1/2,-y,z+1/2'
'x+1/2,y,-z+1/2'
'x+1/2,-y+1/2,-z+1/2'
'-x+1/2,y+1/2,z+1/2'
'-x,y+1/2,-z'
'x,-y+1/2,z'
loop_
_atom_site_label
_atom_site_type_symbol
_atom_site_fract_x
_atom_site_fract_y
_atom_site_fract_z
_atom_site_occupancy
Li1 Li 0.000 0.250 0.023 1
Li2 Li 0.011 0.250 0.473 1
Fe1 Fe 0.244 0.000 0.611 1
F1 F 0.079 0.567 0.634 1
F2 F 0.095 0.568 0.072 1
F3 F 0.177 0.250 0.558 1
F4 F 0.191 0.250 0.149 1
F5 F 0.235 0.557 0.358 1
```